Simulated powder diffraction line list
Compound: Li4SnP6O18
Radiation: copper Kα
Structure: a DFT-relaxed cell (GGA-PBE, Alexandria)

Structure:
```
58
Lattice="6.0072 -4.3182 0.0000 6.0072 4.3182 0.0000 -0.8254 0.0000 14.8303" Properties=species:S:1:pos:R:3 pbc="T T T"
Li 1.6031 1.3479 6.5492
Li 1.1904 -1.3479 13.9643
Li 3.4814 0.0572 8.4194
Li 3.8941 -0.0572 1.0042
Li 7.2948 0.0572 13.8260
Li 7.7075 -0.0572 6.4109
Li 9.9985 1.3479 0.8660
Li 9.5858 -1.3479 8.2811
Sn 5.3881 1.5949 11.1227
Sn 5.8008 -1.5949 3.7076
P 2.1126 1.6111 10.8511
P 0.4520 0.0494 9.1275
P 0.8647 -0.0494 1.7124
P 4.8436 1.4121 5.8246
P 6.7581 1.4121 1.5905
P 2.5253 -1.6111 3.4360
P 8.6636 1.6111 11.3943
P 4.4308 -1.4121 13.2398
P 6.3453 -1.4121 9.0056
P 10.3242 0.0494 13.1179
P 10.7369 -0.0494 5.7028
P 9.0763 -1.6111 3.9791
O 2.5079 1.6809 12.2731
O 1.1693 0.3060 10.5688
O 5.4344 3.2815 9.3368
O 5.3418 3.2815 12.9086
O 3.2279 1.5950 9.8048
O 1.8945 0.0624 0.6274
O 5.5534 2.8741 5.8943
O 1.4818 -0.0624 8.0425
O 6.0482 2.8741 1.5208
O 1.5821 -0.3060 3.1537
O 4.0875 1.4963 4.3805
O 3.8002 1.3200 6.9153
O 5.6893 0.3773 1.7027
O 2.9206 -1.6809 4.8580
O 7.5141 1.4963 3.0347
O 5.9123 0.3773 5.7124
O 3.6407 -1.5950 2.3897
O 7.8014 1.3200 0.4998
O 3.3875 -1.3200 14.3304
O 7.5482 1.5950 12.4406
O 5.2766 -0.3773 9.1178
O 3.6748 -1.4963 11.7956
O 8.2682 1.6809 9.9723
O 5.4996 -0.3773 13.1276
O 7.3887 -1.3200 7.9150
O 7.1014 -1.4963 10.4498
O 9.6068 0.3060 11.6766
O 5.1407 -2.8741 13.3094
O 9.7071 0.0624 6.7878
O 5.6355 -2.8741 8.9360
O 9.2944 -0.0624 14.2029
O 7.9610 -1.5950 5.0254
O 5.8471 -3.2815 1.9216
O 5.7545 -3.2815 5.4935
O 10.0195 -0.3060 4.2615
O 8.6810 -1.6809 2.5571
```

Top 10 peaks for 5 to 70 degrees two-theta, low angle first:
- 11.9 deg, I = 100.0
- 13.8 deg, I = 67.7
- 14.8 deg, I = 34.6
- 19.5 deg, I = 29.0
- 21.7 deg, I = 63.5
- 23.8 deg, I = 38.7
- 25.0 deg, I = 44.0
- 27.4 deg, I = 44.5
- 29.8 deg, I = 47.7
- 32.0 deg, I = 32.1